No. 1
Gd2MnS4: theoretical powder XRD pattern (Cu Kα), based on a DFT-relaxed cell (GGA-PBE, the Materials Project).

```
data_Gd2MnS4
_chemical_formula_sum 'Gd8 Mn4 S16'
_cell_length_a 8.186
_cell_length_b 8.186
_cell_length_c 8.657
_cell_angle_alpha 90.00
_cell_angle_beta 90.00
_cell_angle_gamma 90.00
_space_group_name_H-M_alt 'I -4 2 d'
_space_group_IT_number 122
_space_group_name_Hall 'I -4 2bw'
loop_
_atom_site_label
_atom_site_type_symbol
_atom_site_fract_x
_atom_site_fract_y
_atom_site_fract_z
_atom_site_occupancy
Gd1 Gd 0.132 0.250 0.125 1
Mn1 Mn 0.000 0.000 0.500 1
S1 S 0.068 0.200 0.811 1
```

Principal peaks in the range 2θ = 10–80°, by intensity:
2θ 26.43, intensity 1000, (2 1 1); 2θ 34.65, intensity 751, (3 1 0); 2θ 25.70, intensity 741, (1 1 2); 2θ 39.78, intensity 607, (2 1 3); 2θ 32.91, intensity 464, (1 0 3); 2θ 34.46, intensity 451, (3 0 1); 2θ 41.10, intensity 399, (3 2 1); 2θ 51.20, intensity 338, (3 2 3); 2θ 49.25, intensity 287, (4 0 2); 2θ 14.89, intensity 241, (1 0 1); 2θ 21.71, intensity 220, (2 0 0); 2θ 55.33, intensity 218, (3 1 4)

No. 2
PdPbF4: theoretical powder XRD pattern (Cu Kα), based on a DFT-relaxed cell (GGA-PBE, the Materials Project).

```
data_PdPbF4
_chemical_formula_sum 'Pd4 Pb4 F16'
_cell_length_a 5.989
_cell_length_b 5.989
_cell_length_c 10.949
_cell_angle_alpha 90.00
_cell_angle_beta 90.00
_cell_angle_gamma 90.00
_space_group_name_H-M_alt 'I 4/m c m'
_space_group_IT_number 140
_space_group_name_Hall '-I 4 2c'
loop_
_atom_site_label
_atom_site_type_symbol
_atom_site_fract_x
_atom_site_fract_y
_atom_site_fract_z
_atom_site_occupancy
Pd1 Pd 0.000 0.500 0.000 1
Pb1 Pb 0.000 0.000 0.250 1
F1 F 0.169 0.331 0.130 1
```

Principal peaks in the range 2θ = 10–80°, by intensity:
2θ 26.61, intensity 1000, (1 1 2); 2θ 51.03, intensity 349, (3 1 2); 2θ 44.86, intensity 315, (2 0 4); 2θ 29.84, intensity 282, (2 0 0); 2θ 54.79, intensity 266, (1 1 6); 2θ 71.85, intensity 195, (4 0 4); 2θ 42.70, intensity 164, (2 2 0); 2θ 68.64, intensity 95, (0 0 8); 2θ 79.71, intensity 88, (4 2 4); 2θ 32.72, intensity 83, (0 0 4); 2θ 16.19, intensity 76, (0 0 2); 2θ 70.29, intensity 73, (4 2 0)

No. 3
PaInPd2: theoretical powder XRD pattern (Cu Kα), based on a DFT-relaxed cell (GGA-PBE, the Materials Project).

```
data_PaInPd2
_chemical_formula_sum 'Pa4 In4 Pd8'
_cell_length_a 6.874
_cell_length_b 6.874
_cell_length_c 6.874
_cell_angle_alpha 90.00
_cell_angle_beta 90.00
_cell_angle_gamma 90.00
_space_group_name_H-M_alt 'F m -3 m'
_space_group_IT_number 225
_space_group_name_Hall '-F 4 2 3'
loop_
_atom_site_label
_atom_site_type_symbol
_atom_site_fract_x
_atom_site_fract_y
_atom_site_fract_z
_atom_site_occupancy
Pa1 Pa 0.000 0.000 0.000 1
In1 In 0.000 0.000 0.500 1
Pd1 Pd 0.250 0.250 0.250 1
```

Principal peaks in the range 2θ = 10–80°, by intensity:
2θ 36.99, intensity 1000, (2 2 0); 2θ 66.65, intensity 354, (4 2 2); 2θ 53.31, intensity 174, (4 0 0); 2θ 78.75, intensity 111, (4 4 0); 2θ 22.40, intensity 86, (1 1 1); 2θ 25.92, intensity 61, (2 0 0); 2θ 43.67, intensity 50, (3 1 1); 2θ 60.20, intensity 27, (4 2 0); 2θ 58.53, intensity 23, (3 3 1); 2θ 45.72, intensity 19, (2 2 2); 2θ 71.29, intensity 17, (5 1 1)

No. 4
YMg14NbO16: theoretical powder XRD pattern (Cu Kα), based on a DFT-relaxed cell (GGA-PBE, the Materials Project).

```
data_YMg14NbO16
_chemical_formula_sum 'Y1 Mg14 Nb1 O16'
_cell_length_a 4.412
_cell_length_b 8.703
_cell_length_c 8.780
_cell_angle_alpha 90.00
_cell_angle_beta 90.00
_cell_angle_gamma 90.00
_space_group_name_H-M_alt 'P m m m'
_space_group_IT_number 47
loop_
_space_group_symop_operation_xyz
'x,y,z'
'-x,-y,-z'
'-x,-y,z'
'x,y,-z'
'x,-y,-z'
'-x,y,z'
'-x,y,-z'
'x,-y,z'
loop_
_atom_site_label
_atom_site_type_symbol
_atom_site_fract_x
_atom_site_fract_y
_atom_site_fract_z
_atom_site_occupancy
Y1 Y 0.000 0.000 0.000 1
Mg1 Mg 0.000 0.258 0.256 1
Mg2 Mg 0.000 0.500 0.000 1
Mg3 Mg 0.000 0.500 0.500 1
Mg4 Mg 0.500 0.000 0.260 1
Mg5 Mg 0.500 0.254 0.500 1
Mg6 Mg 0.500 0.262 0.000 1
Mg7 Mg 0.500 0.500 0.252 1
Nb1 Nb 0.000 0.000 0.500 1
O1 O 0.000 0.000 0.248 1
O2 O 0.000 0.261 0.000 1
O3 O 0.000 0.265 0.500 1
O4 O 0.000 0.500 0.249 1
O5 O 0.500 0.000 0.000 1
O6 O 0.500 0.000 0.500 1
O7 O 0.500 0.250 0.249 1
O8 O 0.500 0.500 0.000 1
O9 O 0.500 0.500 0.500 1
```

Principal peaks in the range 2θ = 10–80°, by intensity:
2θ 40.91, intensity 1000, (2 0 0); 2θ 41.12, intensity 976, (0 0 4); 2θ 41.51, intensity 936, (0 4 0); 2θ 35.46, intensity 731, (1 2 2); 2θ 10.16, intensity 624, (0 1 0); 2θ 59.40, intensity 576, (2 0 4); 2θ 59.69, intensity 559, (2 4 0); 2θ 59.85, intensity 550, (0 4 4); 2θ 75.05, intensity 511, (2 4 4); 2θ 28.85, intensity 301, (0 2 2); 2θ 30.51, intensity 274, (1 1 2); 2θ 22.60, intensity 252, (1 1 0)

No. 5
BaSrCaMgSi2O8: theoretical powder XRD pattern (Cu Kα), based on a DFT-relaxed cell (GGA-PBE, the Materials Project).

```
data_BaSrCaMgSi2O8
_chemical_formula_sum 'Ba1 Sr1 Ca1 Mg1 Si2 O8'
_cell_length_a 5.5317
_cell_length_b 5.5317
_cell_length_c 6.9909
_cell_angle_alpha 90.00
_cell_angle_beta 90.00
_cell_angle_gamma 120.00
_space_group_name_H-M_alt 'P 3 m 1'
_space_group_IT_number 156
loop_
_space_group_symop_operation_xyz
'x,y,z'
'-y,x-y,z'
'-x+y,-x,z'
'-y,-x,z'
'-x+y,y,z'
'x,x-y,z'
loop_
_atom_site_label
_atom_site_type_symbol
_atom_site_fract_x
_atom_site_fract_y
_atom_site_fract_z
_atom_site_occupancy
Ba1 Ba 0.0000 0.0000 0.0000 1
Sr1 Sr 0.3333 0.6667 0.3417 1
Ca1 Ca 0.6667 0.3333 0.6684 1
Mg1 Mg 0.0000 0.0000 0.5010 1
Si1 Si 0.3333 0.6667 0.7733 1
Si2 Si 0.6667 0.3333 0.2271 1
O1 O 0.1746 0.3493 0.6787 1
O2 O 0.3333 0.6667 0.0036 1
O3 O 0.3504 0.1752 0.3228 1
O4 O 0.6667 0.3333 0.9937 1
```

Principal peaks in the range 2θ = 10–80°, by intensity:
2θ 32.37, intensity 1000, (1 1 0); 2θ 31.69, intensity 784, (1 0 2); 2θ 22.50, intensity 570, (0 1 1); 2θ 45.93, intensity 505, (0 2 2); 2θ 39.78, intensity 335, (2 0 1); 2θ 57.31, intensity 281, (2 1 2); 2θ 51.26, intensity 200, (1 1 3); 2θ 38.64, intensity 195, (0 0 3); 2θ 67.76, intensity 184, (2 2 0); 2θ 57.73, intensity 180, (3 0 0); 2θ 18.52, intensity 145, (1 0 0); 2θ 34.89, intensity 135, (1 1 1)

No. 6
Na2MgNb2O6: theoretical powder XRD pattern (Cu Kα), based on a DFT-relaxed cell (GGA-PBE, the Materials Project).

```
data_Na2MgNb2O6
_chemical_formula_sum 'Na2 Mg1 Nb2 O6'
_cell_length_a 5.299
_cell_length_b 5.372
_cell_length_c 6.010
_cell_angle_alpha 65.95
_cell_angle_beta 65.03
_cell_angle_gamma 60.61
_space_group_name_H-M_alt 'P 1'
_space_group_IT_number 1
loop_
_space_group_symop_operation_xyz
'x,y,z'
loop_
_atom_site_label
_atom_site_type_symbol
_atom_site_fract_x
_atom_site_fract_y
_atom_site_fract_z
_atom_site_occupancy
Na1 Na 0.000 0.000 0.000 1
Na2 Na 0.155 0.155 0.548 1
Mg1 Mg 0.328 0.328 0.025 1
Nb1 Nb 0.502 0.536 0.456 1
Nb2 Nb 0.825 0.804 0.552 1
O1 O 0.101 0.456 0.750 1
O2 O 0.242 0.921 0.278 1
O3 O 0.452 0.689 0.751 1
O4 O 0.579 0.228 0.295 1
O5 O 0.704 0.113 0.730 1
O6 O 0.921 0.578 0.281 1
```

Principal peaks in the range 2θ = 10–80°, by intensity:
2θ 16.82, intensity 1000, (0 0 1); 2θ 33.84, intensity 309, (2 1 1); 2θ 33.29, intensity 285, (1 -1 0); 2θ 33.39, intensity 279, (1 2 1); 2θ 37.69, intensity 249, (2 1 0); 2θ 38.24, intensity 229, (1 2 2); 2θ 29.08, intensity 218, (0 1 -1); 2θ 37.23, intensity 213, (1 -1 1); 2θ 29.74, intensity 186, (1 0 -1); 2θ 22.38, intensity 183, (0 1 1); 2θ 49.43, intensity 182, (1 2 3); 2θ 48.21, intensity 180, (2 1 -1)